(1)
# K3BeCl5
Theoretical powder diffraction line list, Cu Kα. Input: a DFT-relaxed cell (PBE, Alexandria).
Lines closer than 0.1° are merged.

Crystal structure
Unit cell a=8.9951 b=8.9951 c=8.9951 alpha=122.44 beta=122.44 gamma=85.82
Fractional positions:
K 0.1683 0.6683 0.8366
K 0.2500 0.2500 0.0000
K 0.3317 0.1683 0.5000
K 0.6683 0.8317 0.5000
K 0.7500 0.7500 0.0000
K 0.8317 0.3317 0.1634
Be 0.2500 0.7500 0.5000
Be 0.7500 0.2500 0.5000
Cl 0.0000 0.0000 0.0000
Cl 0.0248 0.7918 0.5000
Cl 0.2082 0.7082 0.2330
Cl 0.2918 0.5248 0.5000
Cl 0.4752 0.9752 0.7670
Cl 0.5000 0.5000 0.0000
Cl 0.5248 0.0248 0.2330
Cl 0.7082 0.4752 0.5000
Cl 0.7918 0.2918 0.7670
Cl 0.9752 0.2082 0.5000

Top 10 peaks for 5 to 70 degrees two-theta, low angle first:
2θ/deg, d/Å, I (rel.)
24.6, 3.619, 6
29.2, 3.062, 10
30.8, 2.905, 100
32.7, 2.739, 47
40.2, 2.243, 7
41.1, 2.196, 7
42.9, 2.107, 11
53.5, 1.713, 7
61.4, 1.510, 11
69.4, 1.354, 7


(2)
# Tl3Bi2Au2
Theoretical powder diffraction line list, Cu Kα. Input: a DFT-relaxed cell (PBE, Alexandria).
Lines closer than 0.1° are merged.

Crystal structure
Unit cell a=4.2046 b=6.6688 c=8.1668 alpha=108.73 beta=90.23 gamma=106.59
Fractional positions:
Tl 0.0000 0.0000 0.0000
Tl 0.1355 0.2269 0.4537
Tl 0.8645 0.7731 0.5463
Bi 0.3113 0.6268 0.1471
Bi 0.6887 0.3732 0.8529
Au 0.3176 0.6584 0.7613
Au 0.6824 0.3416 0.2387

Top 10 peaks for 5 to 70 degrees two-theta, low angle first:
2θ/deg, d/Å, I (rel.)
29.7, 3.008, 57
30.3, 2.949, 42
30.5, 2.933, 49
30.6, 2.923, 100
31.3, 2.858, 51
31.5, 2.837, 74
33.5, 2.674, 43
37.7, 2.388, 54
39.7, 2.271, 62
43.0, 2.101, 62


(3)
# LiPb
Theoretical powder diffraction line list, Cu Kα. Input: a DFT-relaxed cell (PBE, Alexandria).
Lines closer than 0.1° are merged.

Crystal structure
Unit cell a=5.0513 b=5.0513 c=5.0513 alpha=40.02 beta=40.02 gamma=40.02
Fractional positions:
Li 0.0000 0.0000 0.0000
Pb 0.5000 0.5000 0.5000

Top 10 peaks for 5 to 70 degrees two-theta, low angle first:
2θ/deg, d/Å, I (rel.)
19.1, 4.640, 100
30.5, 2.927, 99
32.6, 2.750, 93
38.8, 2.320, 19
39.7, 2.270, 55
44.4, 2.039, 36
53.0, 1.729, 24
55.5, 1.657, 19
56.8, 1.620, 36
67.6, 1.386, 24


(4)
# NdTmMnAl
Theoretical powder diffraction line list, Cu Kα. Input: a DFT-relaxed cell (PBE, Alexandria).
Lines closer than 0.1° are merged.

Crystal structure
Unit cell a=5.1272 b=5.1272 c=5.1272 alpha=60.00 beta=60.00 gamma=60.00
Fractional positions:
Nd 0.0000 0.0000 0.0000
Tm 0.5000 0.5000 0.5000
Mn 0.7500 0.7500 0.7500
Al 0.2500 0.2500 0.2500

Top 8 peaks for 5 to 70 degrees two-theta, low angle first:
2θ/deg, d/Å, I (rel.)
21.2, 4.186, 2
24.6, 3.625, 41
35.0, 2.564, 100
41.3, 2.186, 1
43.2, 2.093, 13
50.3, 1.813, 18
56.8, 1.621, 17
62.8, 1.480, 36


(5)
# LaTb4Rh5
Theoretical powder diffraction line list, Cu Kα. Input: a DFT-relaxed cell (PBE, Alexandria).
Lines closer than 0.1° are merged.

Crystal structure
Unit cell a=3.4338 b=3.4338 c=17.7355 alpha=90.00 beta=90.00 gamma=90.00
Fractional positions:
La 0.0000 0.0000 0.0000
Tb 0.0000 0.0000 0.2053
Tb 0.0000 0.0000 0.4019
Tb 0.0000 0.0000 0.5981
Tb 0.0000 0.0000 0.7947
Rh 0.5000 0.5000 0.1098
Rh 0.5000 0.5000 0.3041
Rh 0.5000 0.5000 0.5000
Rh 0.5000 0.5000 0.6959
Rh 0.5000 0.5000 0.8902

Top 10 peaks for 5 to 70 degrees two-theta, low angle first:
2θ/deg, d/Å, I (rel.)
25.1, 3.547, 2
25.9, 3.434, 4
36.4, 2.467, 100
37.0, 2.428, 49
40.3, 2.240, 2
45.3, 2.004, 2
51.5, 1.774, 9
53.4, 1.717, 17
65.1, 1.432, 17
66.3, 1.409, 34


(6)
# LiDyYAg
Theoretical powder diffraction line list, Cu Kα. Input: a DFT-relaxed cell (PBE, Alexandria).
Lines closer than 0.1° are merged.

Crystal structure
Unit cell a=3.6902 b=5.1179 c=5.1596 alpha=90.00 beta=90.00 gamma=90.00
Fractional positions:
Li 0.0000 0.0000 0.0000
Dy 0.5000 0.0000 0.5000
Y 0.5000 0.5000 0.0000
Ag 0.0000 0.5000 0.5000

Top 10 peaks for 5 to 70 degrees two-theta, low angle first:
2θ/deg, d/Å, I (rel.)
17.2, 5.160, 32
24.5, 3.634, 16
29.8, 2.994, 18
34.6, 2.589, 100
34.8, 2.580, 25
35.1, 2.559, 24
46.5, 1.954, 10
50.2, 1.817, 17
62.3, 1.491, 18
62.6, 1.483, 17


(7)
# RbHgPdPb
Theoretical powder diffraction line list, Cu Kα. Input: a DFT-relaxed cell (PBE, Alexandria).
Lines closer than 0.1° are merged.

Crystal structure
Unit cell a=7.1152 b=7.1152 c=7.1152 alpha=39.69 beta=39.69 gamma=39.69
Fractional positions:
Rb 0.0000 0.0000 0.0000
Hg 0.1977 0.1977 0.1977
Pd 0.8316 0.8316 0.8316
Pb 0.4620 0.4620 0.4620

Top 10 peaks for 5 to 70 degrees two-theta, low angle first:
2θ/deg, d/Å, I (rel.)
13.5, 6.546, 100
21.7, 4.092, 17
27.2, 3.273, 16
28.0, 3.184, 53
31.2, 2.863, 52
37.2, 2.415, 82
39.8, 2.266, 45
42.7, 2.117, 30
46.7, 1.943, 22
56.0, 1.642, 22